No. 1
For Cs11Hg2Cl, a DFT-relaxed cell (PBE, Alexandria) gives the simulated powder XRD pattern in this record (λ = 1.5418 Å (Cu Kα)).
Intensities are scaled so that the largest is 100.

Top 10 peaks for 2θ from 10° to 80°, by angle:
2θ/deg, d (Å), intensity
11.8, 7.519, 49
12.1, 7.306, 59
18.8, 4.709, 74
19.3, 4.592, 47
23.1, 3.848, 100
23.6, 3.777, 43
25.1, 3.541, 50
26.6, 3.350, 33
30.0, 2.978, 33
38.2, 2.355, 59

Crystal structure
Cell: 15.4885 15.4885 15.4885 Å, 125.46 105.19 99.08°
Positions (direct):
Cs  0.0000  0.0000  0.0000
Cs  0.0791  0.2123  0.6242
Cs  0.0881  0.7123  0.1332
Cs  0.1009  0.4590  0.3001
Cs  0.1589  0.8008  0.6999
Cs  0.2292  0.1153  0.3445
Cs  0.2708  0.6153  0.8861
Cs  0.3411  0.0410  0.6419
Cs  0.3991  0.6992  0.3581
Cs  0.4119  0.5451  0.6242
Cs  0.4209  0.0451  0.1332
Cs  0.5000  0.5000  0.0000
Cs  0.5791  0.9549  0.8668
Cs  0.5881  0.4549  0.3758
Cs  0.6009  0.3008  0.6419
Cs  0.6589  0.9590  0.3581
Cs  0.7292  0.3847  0.1139
Cs  0.7708  0.8847  0.6555
Cs  0.8411  0.1992  0.3001
Cs  0.8991  0.5410  0.6999
Cs  0.9119  0.2877  0.8668
Cs  0.9209  0.7877  0.3758
Hg  0.1565  0.8334  0.9899
Hg  0.3435  0.3334  0.6768
Hg  0.6565  0.6666  0.3232
Hg  0.8435  0.1666  0.0101
Cl  0.2500  0.7500  0.5000
Cl  0.7500  0.2500  0.5000

No. 2
For CsHgCl3, a DFT-relaxed cell (PBE, Alexandria) gives the simulated powder XRD pattern in this record (λ = 1.5418 Å (Cu Kα)).
Intensities are scaled so that the largest is 100.

Top 10 peaks for 2θ from 10° to 80°, by angle:
2θ/deg, d (Å), intensity
15.9, 5.590, 14
22.5, 3.953, 100
32.0, 2.795, 41
39.5, 2.282, 48
45.9, 1.976, 26
51.7, 1.768, 24
57.1, 1.614, 8
62.1, 1.494, 27
71.6, 1.318, 13
76.2, 1.250, 9

Crystal structure
Cell: 13.6859 13.6859 9.6911 Å, 90.00 90.00 120.00°
Positions (direct):
Cs  0.0974  0.5438  0.0000
Cs  0.1096  0.8802  0.6713
Cs  0.1198  0.2294  0.3379
Cs  0.4464  0.9026  0.3333
Cs  0.4491  0.2177  0.0143
Cs  0.4562  0.5536  0.6667
Cs  0.7685  0.5509  0.3476
Cs  0.7706  0.8904  0.0046
Cs  0.7823  0.2315  0.6809
Hg  0.1112  0.2262  0.8327
Hg  0.1130  0.5518  0.5144
Hg  0.1150  0.8888  0.1660
Hg  0.4394  0.2216  0.4959
Hg  0.4389  0.8870  0.8477
Hg  0.4482  0.5611  0.1810
Hg  0.7738  0.8850  0.4994
Hg  0.7784  0.2178  0.1626
Hg  0.7822  0.5606  0.8293
Cl  0.0791  0.7409  0.3279
Cl  0.0854  0.0095  0.0114
Cl  0.1528  0.4000  0.6520
Cl  0.2472  0.8472  0.9853
Cl  0.2591  0.3382  0.9946
Cl  0.2732  0.7200  0.6043
Cl  0.2800  0.5533  0.2710
Cl  0.2877  0.0618  0.3173
Cl  0.3103  0.2023  0.6779
Cl  0.4467  0.7268  0.9377
Cl  0.4512  0.4049  0.3646
Cl  0.4523  0.0267  0.6851
Cl  0.5744  0.5477  0.0184
Cl  0.5951  0.0463  0.0313
Cl  0.6000  0.7528  0.3186
Cl  0.6055  0.2326  0.3912
Cl  0.6271  0.3945  0.7245
Cl  0.6618  0.9209  0.6612
Cl  0.7674  0.3729  0.0579
Cl  0.7741  0.7123  0.6507
Cl  0.7977  0.1080  0.3446
Cl  0.8920  0.6897  0.0113
Cl  0.9241  0.9146  0.3447
Cl  0.9382  0.2259  0.9840
Cl  0.9537  0.5488  0.6980
Cl  0.9733  0.4256  0.3517
Cl  0.9905  0.0759  0.6780

No. 3
For CsHgCl3, a DFT-relaxed cell (PBE, Alexandria) gives the simulated powder XRD pattern in this record (λ = 1.5418 Å (Cu Kα)).
Intensities are scaled so that the largest is 100.

Top 10 peaks for 2θ from 10° to 80°, by angle:
2θ/deg, d (Å), intensity
22.8, 3.899, 50
23.0, 3.874, 100
32.5, 2.757, 46
32.9, 2.722, 22
40.1, 2.246, 48
40.4, 2.232, 22
46.6, 1.950, 16
46.9, 1.937, 31
52.5, 1.743, 23
58.2, 1.585, 16

Crystal structure
Cell: 7.7493 7.7493 7.7493 Å, 119.58 119.58 90.73°
Positions (direct):
Cs  0.2500  0.7500  0.5000
Cs  0.7500  0.2500  0.5000
Hg  0.0000  0.0000  0.0000
Hg  0.5000  0.5000  0.0000
Cl  0.2227  0.2227  0.0000
Cl  0.2645  0.2645  0.5290
Cl  0.2645  0.7355  0.0000
Cl  0.7355  0.2645  0.0000
Cl  0.7355  0.7355  0.4710
Cl  0.7773  0.7773  0.0000

No. 4
For Cs2Hg2Cl5, a DFT-relaxed cell (PBE, Alexandria) gives the simulated powder XRD pattern in this record (λ = 1.5418 Å (Cu Kα)).
Intensities are scaled so that the largest is 100.

Top 10 peaks for 2θ from 10° to 80°, by angle:
2θ/deg, d (Å), intensity
11.4, 7.771, 21
21.8, 4.079, 100
24.2, 3.679, 34
25.1, 3.542, 31
29.9, 2.984, 12
32.1, 2.791, 27
36.7, 2.448, 32
39.1, 2.304, 16
41.2, 2.193, 39
44.4, 2.039, 12

Crystal structure
Cell: 8.0897 8.0897 8.3284 Å, 109.73 109.73 40.37°
Positions (direct):
Cs  0.1036  0.1036  0.3050
Cs  0.8964  0.8964  0.6950
Hg  0.3578  0.3578  0.1252
Hg  0.6422  0.6422  0.8748
Cl  0.1533  0.1533  0.9151
Cl  0.3487  0.3487  0.4325
Cl  0.5000  0.5000  0.0000
Cl  0.6513  0.6513  0.5675
Cl  0.8467  0.8467  0.0849